Starting from a cell relaxed with GGA-PBE, the powder diffraction line list of Dy2Be2SiSn was calculated for Cu Kα, 1.54184 Å.

Atomic structure:
```
Dy2Be2SiSn
1.0
4.0314 0.0000 0.0000
-2.0157 3.4913 0.0000
0.0000 0.0000 8.1861
Dy Be Si Sn
2 2 1 1
Direct
0.0000 0.0000 0.2380
0.0000 0.0000 0.7620
0.3333 0.6667 0.0000
0.6667 0.3333 0.5000
0.6667 0.3333 0.0000
0.3333 0.6667 0.5000
```

Peak list (10 most intense, 15 to 90 degrees two-theta, in order of falling intensity)
d (Å)	I (rel.)	hkl
2.656	100	1 0 2
3.491	39	1 0 0
2.016	32	1 1 0
1.606	22	2 0 2
1.436	20	1 1 4
1.256	20	2 1 2
3.211	19	1 0 1
2.047	10	0 0 4
1.766	10	1 0 4
1.271	9	1 0 6